LaTbC: theoretical powder diffraction line list (Cu Kα (λ = 1.5418 Å)), based on the PBE geometry in Alexandria.
Kinematic intensities with the Lorentz-polarization factor, no thermal factor.

Cell and atoms:
```
LaTbC
1.0
3.651 0.000 0.000
0.000 5.150 0.000
0.000 0.000 8.225
La Tb C
2 2 2
direct
0.250 0.250 0.170
0.750 0.750 0.830
0.250 0.250 0.591
0.750 0.750 0.409
0.250 0.750 0.620
0.750 0.250 0.380
```

Main lines, in order of rising 2θ (10 to 90 degrees two-theta):
| 2θ (°) | Rel. int. |
| --- | --- |
| 10.76 | 39 |
| 27.76 | 93 |
| 30.00 | 100 |
| 32.80 | 72 |
| 34.84 | 39 |
| 37.15 | 17 |
| 41.18 | 16 |
| 48.60 | 47 |
| 58.12 | 24 |
| 59.51 | 15 |


La2TcC4: theoretical powder diffraction line list (Cu Kα (λ = 1.5418 Å)), based on the PBE geometry in Alexandria.
Kinematic intensities with the Lorentz-polarization factor, no thermal factor.

Cell and atoms:
```
La2TcC4
1.0
-3.995 5.134 2.715
3.995 -5.134 2.715
3.995 5.134 -2.715
La Tc C
4 2 8
direct
0.151 0.155 0.306
0.349 0.655 0.004
0.651 0.345 0.996
0.849 0.845 0.694
0.250 0.750 0.500
0.750 0.250 0.500
0.075 0.677 0.751
0.120 0.837 0.957
0.380 0.337 0.717
0.425 0.177 0.602
0.575 0.823 0.398
0.620 0.663 0.283
0.880 0.163 0.043
0.925 0.323 0.249
```

Main lines, in order of rising 2θ (10 to 90 degrees two-theta):
| 2θ (°) | Rel. int. |
| --- | --- |
| 26.37 | 92 |
| 28.35 | 100 |
| 29.08 | 92 |
| 34.80 | 46 |
| 36.02 | 47 |
| 40.16 | 24 |
| 40.47 | 23 |
| 48.84 | 39 |
| 52.89 | 24 |
| 55.27 | 51 |


La6Te2C: theoretical powder diffraction line list (Cu Kα (λ = 1.5418 Å)), based on the PBE geometry in Alexandria.
Kinematic intensities with the Lorentz-polarization factor, no thermal factor.

Cell and atoms:
```
La6Te2C
1.0
6.661 0.000 0.000
0.000 8.264 0.000
-6.345 0.000 10.217
La Te C
12 4 2
direct
0.135 0.023 0.247
0.135 0.477 0.747
0.180 0.713 0.043
0.180 0.787 0.543
0.365 0.169 0.032
0.365 0.331 0.532
0.635 0.669 0.468
0.635 0.831 0.968
0.820 0.213 0.457
0.820 0.287 0.957
0.865 0.523 0.253
0.865 0.977 0.753
0.324 0.106 0.743
0.324 0.394 0.243
0.676 0.606 0.757
0.676 0.894 0.257
0.000 0.000 0.000
0.000 0.500 0.500
```

Main lines, in order of rising 2θ (10 to 90 degrees two-theta):
| 2θ (°) | Rel. int. |
| --- | --- |
| 27.77 | 100 |
| 28.91 | 31 |
| 29.99 | 35 |
| 30.48 | 50 |
| 30.66 | 31 |
| 31.12 | 55 |
| 33.48 | 40 |
| 34.36 | 32 |
| 35.13 | 46 |
| 35.26 | 37 |


LaTeC: theoretical powder diffraction line list (Cu Kα (λ = 1.5418 Å)), based on the PBE geometry in Alexandria.
Kinematic intensities with the Lorentz-polarization factor, no thermal factor.

Cell and atoms:
```
LaTeC
1.0
-2.199 2.343 8.407
2.199 -2.343 8.407
2.199 2.343 -8.407
La Te C
2 2 2
direct
0.125 0.125 0.000
0.875 0.875 0.000
0.325 0.325 0.000
0.675 0.675 0.000
0.000 0.357 0.357
0.000 0.643 0.643
```

Main lines, in order of rising 2θ (10 to 90 degrees two-theta):
| 2θ (°) | Rel. int. |
| --- | --- |
| 10.52 | 25 |
| 21.14 | 41 |
| 27.82 | 100 |
| 32.78 | 31 |
| 33.54 | 35 |
| 35.20 | 56 |
| 38.42 | 24 |
| 41.04 | 18 |
| 51.90 | 20 |
| 53.48 | 18 |